Diffraction record for Ce2Be4CuSi3. The X-ray diffraction stick pattern is calculated, not measured: it uses DFT lattice parameters and positions (PBE) and a wavelength of 1.5418 Å.
Lines closer than 0.1° are merged.

Principal peaks in the range 10° ≤ 2θ ≤ 90°, sorted by position:
d 4.725, I 25; d 3.643, I 100; d 2.791, I 27; d 2.462, I 71; d 2.403, I 98; d 1.974, I 36; d 1.735, I 25; d 1.705, I 25; d 1.540, I 33; d 1.207, I 21

Cell and atoms:
a = 3.948 Å, b = 3.948 Å, c = 9.450 Å
α = 90.00°, β = 90.00°, γ = 90.00°
Element x y z (fractional)
Ce  0.000  0.500  0.248
Ce  0.500  0.000  0.752
Be  0.000  0.000  0.000
Be  0.000  0.500  0.627
Be  0.500  0.000  0.373
Be  0.500  0.500  0.000
Cu  0.000  0.000  0.500
Si  0.000  0.500  0.869
Si  0.500  0.000  0.131
Si  0.500  0.500  0.500